Fe4O3F5: simulated X-ray diffraction stick pattern (CuKα), based on DFT lattice parameters and positions (PBE+U).
Intensities are scaled so that the largest is 100.

Top 6 peaks for 10° ≤ 2θ ≤ 90°, in order of falling intensity:
| d_spacing | Rel. int. | hkl |
| --- | --- | --- |
| 3.448 | 100 | 1 0 -2 |
| 2.602 | 100 | 1 2 0 |
| 3.379 | 97 | 1 0 2 |
| 1.777 | 30 | 2 2 -2 |
| 1.781 | 29 | 1 2 -4 |
| 1.761 | 26 | 1 2 4 |

Structure:
```
Fe4O3F5
1.0
4.8160 0.0000 0.0000
0.0000 6.1791 0.0000
-0.1961 0.0000 9.6753
Fe O F
8 6 10
direct
0.0000 0.0029 0.0000
0.0000 0.9971 0.5000
0.0675 0.4908 0.0387
0.0675 0.5092 0.5387
0.5388 0.2487 0.7666
0.5388 0.7513 0.2666
0.5725 0.2511 0.2470
0.5725 0.7489 0.7470
0.3608 0.4958 0.6758
0.3608 0.5042 0.1758
0.7077 0.0005 0.3487
0.7077 0.9995 0.8487
0.8503 0.2629 0.1099
0.8503 0.7371 0.6099
0.2278 0.2694 0.4211
0.2278 0.7306 0.9211
0.2482 0.2637 0.9153
0.2482 0.7363 0.4153
0.3356 0.0056 0.6574
0.3356 0.9944 0.1574
0.7500 0.4992 0.8663
0.7500 0.5008 0.3663
0.8424 0.2628 0.6184
0.8424 0.7372 0.1184
```